(1)
This entry pairs a crystal structure of SrTaAsO with its computed powder X-ray diffraction pattern. Radiation: CuKα. Structure: a structure optimized by DFT (GGA-PBE).
Kinematic intensities with the Lorentz-polarization factor, no thermal factor.

Cell and atoms:
a = 4.1246 Å, b = 4.9480 Å, c = 7.3300 Å
α = 90.00°, β = 90.00°, γ = 90.00°
Sites, in units of the cell vectors:
Sr: 0.0000 0.1683 0.0000
Sr: 0.0000 0.8317 0.5000
Ta: 0.5000 0.3416 0.3509
Ta: 0.5000 0.6584 0.8509
As: 0.5000 0.1764 0.6948
As: 0.5000 0.8236 0.1948
O: 0.0000 0.3370 0.3462
O: 0.0000 0.6630 0.8462

Peak list (10 most intense, 2θ from 5° to 70°, sorted by position)
d/Å, 2θ/deg, intensity
4.125, 21.5, 39
2.945, 30.3, 26
2.908, 30.7, 100
2.740, 32.7, 60
2.344, 38.4, 52
2.191, 41.2, 60
2.062, 43.9, 35
2.038, 44.5, 34
1.548, 59.7, 28
1.502, 61.8, 36

(2)
This entry pairs a crystal structure of RbZrAgTe2S with its computed powder X-ray diffraction pattern. Radiation: CuKα. Structure: a structure optimized by DFT (GGA-PBE).
Kinematic intensities with the Lorentz-polarization factor, no thermal factor.

Cell and atoms:
a = 8.9488 Å, b = 4.1069 Å, c = 10.5127 Å
α = 90.00°, β = 112.36°, γ = 90.00°
Sites, in units of the cell vectors:
Rb: 0.2321 0.2500 0.2326
Rb: 0.7679 0.7500 0.7674
Zr: 0.1702 0.7500 0.6441
Zr: 0.8298 0.2500 0.3559
Ag: 0.4245 0.2500 0.8922
Ag: 0.5755 0.7500 0.1078
Te: 0.2275 0.7500 0.9352
Te: 0.3992 0.2500 0.6212
Te: 0.6008 0.7500 0.3788
Te: 0.7725 0.2500 0.0648
S: 0.0216 0.7500 0.3755
S: 0.9784 0.2500 0.6245

Peak list (10 most intense, 2θ from 5° to 70°, sorted by position)
d/Å, 2θ/deg, intensity
8.276, 10.7, 39
7.975, 11.1, 100
3.651, 24.4, 72
3.504, 25.4, 53
3.024, 29.5, 81
2.915, 30.7, 82
2.690, 33.3, 46
2.666, 33.6, 54
2.175, 41.5, 65
2.053, 44.1, 48

(3)
This entry pairs a crystal structure of Tb2ReC2 with its computed powder X-ray diffraction pattern. Radiation: CuKα. Structure: a structure optimized by DFT (GGA-PBE).
Kinematic intensities with the Lorentz-polarization factor, no thermal factor.

Cell and atoms:
a = 6.5950 Å, b = 5.1453 Å, c = 9.9056 Å
α = 90.00°, β = 90.00°, γ = 90.00°
Sites, in units of the cell vectors:
Tb: 0.0302 0.2500 0.2157
Tb: 0.1817 0.2500 0.5549
Tb: 0.3183 0.7500 0.0549
Tb: 0.4698 0.7500 0.7157
Tb: 0.5302 0.2500 0.2843
Tb: 0.6817 0.2500 0.9451
Tb: 0.8183 0.7500 0.4451
Tb: 0.9698 0.7500 0.7843
Re: 0.2231 0.2500 0.8646
Re: 0.2769 0.7500 0.3646
Re: 0.7231 0.2500 0.6354
Re: 0.7769 0.7500 0.1354
C: 0.0428 0.7500 0.2410
C: 0.1786 0.7500 0.5483
C: 0.3214 0.2500 0.0483
C: 0.4572 0.2500 0.7410
C: 0.5428 0.7500 0.2590
C: 0.6786 0.7500 0.9517
C: 0.8214 0.2500 0.4517
C: 0.9572 0.2500 0.7590

Peak list (10 most intense, 2θ from 5° to 70°, sorted by position)
d/Å, 2θ/deg, intensity
2.952, 30.3, 17
2.778, 32.2, 100
2.745, 32.6, 24
2.673, 33.5, 94
2.573, 34.9, 65
2.561, 35.0, 53
1.569, 58.8, 16
1.566, 59.0, 17
1.522, 60.9, 17
1.504, 61.7, 17

(4)
This entry pairs a crystal structure of DyHoFe2Pb with its computed powder X-ray diffraction pattern. Radiation: CuKα. Structure: a structure optimized by DFT (GGA-PBE).
Kinematic intensities with the Lorentz-polarization factor, no thermal factor.

Cell and atoms:
a = 3.8089 Å, b = 7.3807 Å, c = 7.3807 Å
α = 30.61°, β = 90.00°, γ = 90.00°
Sites, in units of the cell vectors:
Dy: 0.0000 0.0000 0.0000
Ho: 0.0000 0.7237 0.7237
Fe: 0.5000 0.1560 0.1560
Fe: 0.5000 0.5686 0.5686
Pb: 0.5000 0.3616 0.3616

Peak list (10 most intense, 2θ from 5° to 70°, sorted by position)
d/Å, 2θ/deg, intensity
3.012, 29.7, 53
2.675, 33.5, 100
2.601, 34.5, 74
2.299, 39.2, 32
1.948, 46.6, 21
1.904, 47.8, 19
1.630, 56.5, 20
1.610, 57.2, 18
1.559, 59.3, 31
1.466, 63.4, 18

(5)
This entry pairs a crystal structure of TaNbW6 with its computed powder X-ray diffraction pattern. Radiation: CuKα. Structure: a structure optimized by DFT (GGA-PBE).
Kinematic intensities with the Lorentz-polarization factor, no thermal factor.

Cell and atoms:
a = 4.5408 Å, b = 4.5408 Å, c = 6.4175 Å
α = 90.00°, β = 90.00°, γ = 90.00°
Sites, in units of the cell vectors:
Ta: 0.0000 0.0000 0.0000
Nb: 0.5000 0.5000 0.5000
W: 0.0000 0.0000 0.5000
W: 0.0000 0.5000 0.2502
W: 0.0000 0.5000 0.7498
W: 0.5000 0.0000 0.2502
W: 0.5000 0.0000 0.7498
W: 0.5000 0.5000 0.0000

Peak list (7 most intense, 2θ from 5° to 70°, sorted by position)
d/Å, 2θ/deg, intensity
6.418, 13.8, 1
4.541, 19.5, 1
3.707, 24.0, 1
3.210, 27.8, 1
2.270, 39.7, 100
1.936, 46.9, 1
1.605, 57.4, 17

(6)
This entry pairs a crystal structure of YTm2Fe6Co3 with its computed powder X-ray diffraction pattern. Radiation: CuKα. Structure: a structure optimized by DFT (GGA-PBE).
Kinematic intensities with the Lorentz-polarization factor, no thermal factor.

Cell and atoms:
a = 8.5753 Å, b = 8.5753 Å, c = 8.5753 Å
α = 34.08°, β = 34.08°, γ = 34.08°
Sites, in units of the cell vectors:
Y: 0.0000 0.0000 0.0000
Tm: 0.1424 0.1424 0.1424
Tm: 0.8576 0.8576 0.8576
Fe: 0.0811 0.5830 0.5830
Fe: 0.4170 0.4170 0.9189
Fe: 0.4170 0.9189 0.4170
Fe: 0.5830 0.0811 0.5830
Fe: 0.5830 0.5830 0.0811
Fe: 0.9189 0.4170 0.4170
Co: 0.3324 0.3324 0.3324
Co: 0.5000 0.5000 0.5000
Co: 0.6676 0.6676 0.6676

Peak list (10 most intense, 2θ from 5° to 70°, sorted by position)
d/Å, 2θ/deg, intensity
8.070, 11.0, 22
2.708, 33.1, 47
2.513, 35.7, 55
2.484, 36.2, 29
2.167, 41.7, 34
2.133, 42.4, 100
2.048, 44.2, 18
1.985, 45.7, 19
1.964, 46.2, 21
1.365, 68.8, 22

(7)
This entry pairs a crystal structure of RbPm2CuTeSe3 with its computed powder X-ray diffraction pattern. Radiation: CuKα. Structure: a structure optimized by DFT (GGA-PBE).
Kinematic intensities with the Lorentz-polarization factor, no thermal factor.

Cell and atoms:
a = 7.6991 Å, b = 7.6991 Å, c = 14.9277 Å
α = 90.00°, β = 90.00°, γ = 147.70°
Sites, in units of the cell vectors:
Rb: 0.1244 0.8756 0.7500
Rb: 0.8756 0.1244 0.2500
Pm: 0.3660 0.6340 0.5561
Pm: 0.3660 0.6340 0.9439
Pm: 0.6340 0.3660 0.0561
Pm: 0.6340 0.3660 0.4439
Cu: 0.1627 0.8373 0.2500
Cu: 0.8373 0.1627 0.7500
Te: 0.4392 0.5608 0.7500
Te: 0.5608 0.4392 0.2500
Se: 0.0000 0.0000 0.0000
Se: 0.0000 0.0000 0.5000
Se: 0.2582 0.7418 0.1109
Se: 0.2582 0.7418 0.3891
Se: 0.7418 0.2582 0.6109
Se: 0.7418 0.2582 0.8891

Peak list (10 most intense, 2θ from 5° to 70°, sorted by position)
d/Å, 2θ/deg, intensity
6.627, 13.4, 38
4.123, 21.6, 29
3.332, 26.8, 26
3.160, 28.2, 63
2.967, 30.1, 100
2.768, 32.3, 26
2.416, 37.2, 28
2.209, 40.9, 22
2.186, 41.3, 47
2.142, 42.2, 32

(8)
This entry pairs a crystal structure of GdYB5 with its computed powder X-ray diffraction pattern. Radiation: CuKα. Structure: a structure optimized by DFT (GGA-PBE).
Kinematic intensities with the Lorentz-polarization factor, no thermal factor.

Cell and atoms:
a = 3.7611 Å, b = 7.4037 Å, c = 7.4037 Å
α = 26.99°, β = 90.00°, γ = 90.00°
Sites, in units of the cell vectors:
Gd: 0.0000 0.0000 0.0000
Y: 0.0000 0.7341 0.7341
B: 0.5000 0.1483 0.1483
B: 0.5000 0.2610 0.2610
B: 0.5000 0.3686 0.3686
B: 0.5000 0.4763 0.4763
B: 0.5000 0.5889 0.5889

Peak list (10 most intense, 2θ from 5° to 70°, sorted by position)
d/Å, 2θ/deg, intensity
7.199, 12.3, 39
3.761, 23.7, 77
3.600, 24.7, 97
3.360, 26.5, 62
2.804, 31.9, 68
2.601, 34.5, 89
2.506, 35.8, 100
2.248, 40.1, 84
1.600, 57.6, 32
1.439, 64.8, 29

(9)
This entry pairs a crystal structure of Sm3GeSe2 with its computed powder X-ray diffraction pattern. Radiation: CuKα. Structure: a structure optimized by DFT (GGA-PBE).
Kinematic intensities with the Lorentz-polarization factor, no thermal factor.

Cell and atoms:
a = 7.2873 Å, b = 7.2873 Å, c = 7.2873 Å
α = 146.33°, β = 132.02°, γ = 59.89°
Sites, in units of the cell vectors:
Sm: 0.0000 0.0000 0.0000
Sm: 0.3397 0.3397 0.0000
Sm: 0.6603 0.6603 0.0000
Ge: 0.5000 0.0000 0.5000
Se: 0.1678 0.6678 0.5000
Se: 0.8322 0.3322 0.5000

Peak list (10 most intense, 2θ from 5° to 70°, sorted by position)
d/Å, 2θ/deg, intensity
3.435, 25.9, 28
2.981, 30.0, 100
2.963, 30.2, 50
2.111, 42.8, 19
2.102, 43.0, 92
1.797, 50.8, 9
1.719, 53.3, 20
1.716, 53.4, 19
1.490, 62.3, 12
1.481, 62.7, 6

(10)
This entry pairs a crystal structure of ErTmReSi2 with its computed powder X-ray diffraction pattern. Radiation: CuKα. Structure: a structure optimized by DFT (GGA-PBE).
Kinematic intensities with the Lorentz-polarization factor, no thermal factor.

Cell and atoms:
a = 5.7720 Å, b = 5.7720 Å, c = 9.9309 Å
α = 116.29°, β = 116.29°, γ = 42.10°
Sites, in units of the cell vectors:
Er: 0.1866 0.1866 0.1117
Er: 0.8134 0.8134 0.8883
Tm: 0.0091 0.0091 0.6794
Tm: 0.9909 0.9909 0.3206
Re: 0.2721 0.2721 0.6301
Re: 0.7279 0.7279 0.3699
Si: 0.3634 0.3634 0.4421
Si: 0.4972 0.4972 0.1229
Si: 0.5028 0.5028 0.8771
Si: 0.6366 0.6366 0.5579

Peak list (10 most intense, 2θ from 5° to 70°, sorted by position)
d/Å, 2θ/deg, intensity
8.742, 10.1, 21
3.799, 23.4, 26
3.182, 28.0, 31
2.702, 33.2, 21
2.654, 33.8, 55
2.629, 34.1, 100
2.404, 37.4, 46
2.205, 40.9, 29
2.185, 41.3, 19
2.073, 43.7, 34

(11)
This entry pairs a crystal structure of Cu2Ag with its computed powder X-ray diffraction pattern. Radiation: CuKα. Structure: a structure optimized by DFT (GGA-PBE).
Kinematic intensities with the Lorentz-polarization factor, no thermal factor.

Cell and atoms:
a = 2.7691 Å, b = 3.4640 Å, c = 8.6924 Å
α = 90.00°, β = 90.00°, γ = 90.00°
Sites, in units of the cell vectors:
Cu: 0.2500 0.2500 0.0742
Cu: 0.2500 0.2500 0.7831
Cu: 0.7500 0.7500 0.2169
Cu: 0.7500 0.7500 0.9258
Ag: 0.2500 0.2500 0.3942
Ag: 0.7500 0.7500 0.6058

Peak list (10 most intense, 2θ from 5° to 70°, sorted by position)
d/Å, 2θ/deg, intensity
2.709, 33.1, 20
2.335, 38.6, 13
2.222, 40.6, 89
2.163, 41.8, 100
2.002, 45.3, 64
1.738, 52.6, 6
1.732, 52.9, 25
1.449, 64.3, 6
1.385, 67.7, 11
1.355, 69.4, 12